(1)
This entry pairs a crystal structure of ErLuTlN with its theoretical PXRD pattern. Radiation: Cu Ka. Structure: a structure optimized by DFT (GGA-PBE).
Lines closer than 0.1° are merged.

Atomic structure:
a = 3.467 Å, b = 3.467 Å, c = 15.460 Å
α = 90.00°, β = 90.00°, γ = 120.00°
Positions (direct):
Er1 0.000 0.000 0.167
Er2 0.000 0.000 0.833
Lu1 0.333 0.667 0.334
Lu2 0.333 0.667 0.666
Tl1 0.000 0.000 0.500
Tl2 0.333 0.667 0.000
N1 0.667 0.333 0.253
N2 0.667 0.333 0.747

Main lines, in order of rising 2θ (2θ = 10–90°):
two_theta  I (rel.)
29.75  22
34.57  100
34.82  21
46.44  16
52.81  21
62.27  19
64.67  17
64.82  21
86.00  8
88.15  15

***

(2)
This entry pairs a crystal structure of ErTm4Lu2Ni2S2 with its theoretical PXRD pattern. Radiation: Cu Ka. Structure: a structure optimized by DFT (GGA-PBE).
Lines closer than 0.1° are merged.

Atomic structure:
a = 8.752 Å, b = 8.752 Å, c = 8.752 Å
α = 155.55°, β = 67.63°, γ = 118.05°
Positions (direct):
Er1 0.000 0.000 0.000
Tm1 0.115 0.750 0.364
Tm2 0.386 0.750 0.636
Tm3 0.474 0.595 0.879
Tm4 0.716 0.595 0.121
Lu1 0.072 0.387 0.684
Lu2 0.703 0.387 0.316
Ni1 0.323 0.084 0.239
Ni2 0.845 0.084 0.761
S1 0.346 0.346 0.000
S2 0.751 0.251 0.500

Main lines, in order of rising 2θ (2θ = 10–90°):
two_theta  I (rel.)
30.38  67
31.87  70
32.34  43
35.15  56
36.01  100
36.46  50
38.59  22
49.17  29
57.39  36
61.85  26

***

(3)
This entry pairs a crystal structure of ErLuScSi3Ni with its theoretical PXRD pattern. Radiation: Cu Ka. Structure: a structure optimized by DFT (GGA-PBE).
Lines closer than 0.1° are merged.

Atomic structure:
a = 5.438 Å, b = 5.438 Å, c = 13.179 Å
α = 109.32°, β = 109.32°, γ = 44.28°
Positions (direct):
Er1 0.101 0.101 0.419
Er2 0.899 0.899 0.581
Lu1 0.027 0.027 0.879
Lu2 0.973 0.973 0.121
Sc1 0.244 0.244 0.729
Sc2 0.756 0.756 0.271
Si1 0.365 0.365 0.954
Si2 0.383 0.383 0.421
Si3 0.454 0.454 0.262
Si4 0.546 0.546 0.738
Si5 0.617 0.617 0.579
Si6 0.635 0.635 0.046
Ni1 0.253 0.253 0.096
Ni2 0.747 0.747 0.904

Main lines, in order of rising 2θ (2θ = 10–90°):
two_theta  I (rel.)
23.68  96
28.42  36
29.02  27
34.61  100
34.81  53
34.95  81
35.66  30
39.56  55
42.86  45
44.17  66

***

(4)
This entry pairs a crystal structure of ErLuScSi3Ni with its theoretical PXRD pattern. Radiation: Cu Ka. Structure: a structure optimized by DFT (GGA-PBE).
Lines closer than 0.1° are merged.

Atomic structure:
a = 5.470 Å, b = 5.470 Å, c = 13.107 Å
α = 108.32°, β = 108.32°, γ = 43.70°
Positions (direct):
Er1 0.247 0.247 0.230
Er2 0.753 0.753 0.770
Lu1 0.102 0.102 0.920
Lu2 0.898 0.898 0.080
Sc1 0.029 0.029 0.382
Sc2 0.971 0.971 0.618
Si1 0.370 0.370 0.459
Si2 0.386 0.386 0.924
Si3 0.456 0.456 0.758
Si4 0.544 0.544 0.242
Si5 0.614 0.614 0.076
Si6 0.630 0.630 0.541
Ni1 0.252 0.252 0.592
Ni2 0.748 0.748 0.408

Main lines, in order of rising 2θ (2θ = 10–90°):
two_theta  I (rel.)
23.89  29
27.21  27
30.07  44
34.50  100
34.83  44
35.16  36
35.41  27
42.37  26
44.07  28
44.50  31

***

(5)
This entry pairs a crystal structure of ErLuScSi3Ni with its theoretical PXRD pattern. Radiation: Cu Ka. Structure: a structure optimized by DFT (GGA-PBE).
Lines closer than 0.1° are merged.

Atomic structure:
a = 5.473 Å, b = 5.473 Å, c = 13.106 Å
α = 108.51°, β = 108.51°, γ = 43.67°
Positions (direct):
Er1 0.102 0.102 0.419
Er2 0.898 0.898 0.581
Lu1 0.247 0.247 0.732
Lu2 0.753 0.753 0.268
Sc1 0.028 0.028 0.883
Sc2 0.972 0.972 0.117
Si1 0.370 0.370 0.959
Si2 0.386 0.386 0.422
Si3 0.456 0.456 0.256
Si4 0.544 0.544 0.744
Si5 0.614 0.614 0.578
Si6 0.630 0.630 0.041
Ni1 0.252 0.252 0.092
Ni2 0.748 0.748 0.908

Main lines, in order of rising 2θ (2θ = 10–90°):
two_theta  I (rel.)
23.89  29
27.27  26
30.06  46
34.52  100
34.81  40
35.16  33
35.38  27
42.43  24
44.10  28
44.51  30

***

(6)
This entry pairs a crystal structure of ErLuScSi3Ni with its theoretical PXRD pattern. Radiation: Cu Ka. Structure: a structure optimized by DFT (GGA-PBE).
Lines closer than 0.1° are merged.

Atomic structure:
a = 5.422 Å, b = 5.422 Å, c = 13.152 Å
α = 108.72°, β = 108.72°, γ = 44.60°
Positions (direct):
Er1 0.029 0.029 0.376
Er2 0.971 0.971 0.624
Lu1 0.247 0.247 0.221
Lu2 0.753 0.753 0.779
Sc1 0.097 0.097 0.923
Sc2 0.903 0.903 0.077
Si1 0.362 0.362 0.456
Si2 0.380 0.380 0.930
Si3 0.456 0.456 0.771
Si4 0.544 0.544 0.229
Si5 0.620 0.620 0.070
Si6 0.638 0.638 0.544
Ni1 0.254 0.254 0.602
Ni2 0.746 0.746 0.398

Main lines, in order of rising 2θ (2θ = 10–90°):
two_theta  I (rel.)
23.60  29
25.65  62
28.58  24
34.44  74
34.67  44
34.92  100
35.83  33
36.62  61
42.69  38
44.01  51

***

(7)
This entry pairs a crystal structure of ErLuScSi3Ni with its theoretical PXRD pattern. Radiation: Cu Ka. Structure: a structure optimized by DFT (GGA-PBE).
Lines closer than 0.1° are merged.

Atomic structure:
a = 5.411 Å, b = 5.411 Å, c = 13.144 Å
α = 108.47°, β = 108.47°, γ = 44.45°
Positions (direct):
Er1 0.247 0.247 0.223
Er2 0.753 0.753 0.777
Lu1 0.030 0.030 0.378
Lu2 0.970 0.970 0.622
Sc1 0.099 0.099 0.923
Sc2 0.901 0.901 0.077
Si1 0.364 0.364 0.456
Si2 0.383 0.383 0.929
Si3 0.457 0.457 0.769
Si4 0.543 0.543 0.231
Si5 0.617 0.617 0.071
Si6 0.636 0.636 0.544
Ni1 0.254 0.254 0.599
Ni2 0.746 0.746 0.401

Main lines, in order of rising 2θ (2θ = 10–90°):
two_theta  I (rel.)
23.70  32
25.73  65
28.64  27
34.46  74
34.76  41
35.01  100
35.89  33
36.76  62
42.68  40
44.25  46

***

(8)
This entry pairs a crystal structure of YEr2Lu4Ni2Se2 with its theoretical PXRD pattern. Radiation: Cu Ka. Structure: a structure optimized by DFT (GGA-PBE).
Lines closer than 0.1° are merged.

Atomic structure:
a = 8.942 Å, b = 8.942 Å, c = 8.942 Å
α = 155.67°, β = 67.36°, γ = 118.27°
Positions (direct):
Y1 0.000 0.000 0.000
Er1 0.616 0.258 0.358
Er2 0.900 0.258 0.642
Lu1 0.286 0.412 0.873
Lu2 0.302 0.618 0.684
Lu3 0.539 0.412 0.127
Lu4 0.935 0.618 0.316
Ni1 0.165 0.925 0.240
Ni2 0.685 0.925 0.760
Se1 0.261 0.761 0.500
Se2 0.657 0.657 0.000

Main lines, in order of rising 2θ (2θ = 10–90°):
two_theta  I (rel.)
25.55  27
29.80  46
31.30  53
31.60  26
34.45  72
35.28  100
35.76  64
48.30  29
53.38  21
60.67  28

***

(9)
This entry pairs a crystal structure of Er2Lu5Ni2Te2 with its theoretical PXRD pattern. Radiation: Cu Ka. Structure: a structure optimized by DFT (GGA-PBE).
Lines closer than 0.1° are merged.

Atomic structure:
a = 9.185 Å, b = 9.185 Å, c = 9.185 Å
α = 156.11°, β = 67.34°, γ = 118.09°
Positions (direct):
Er1 0.185 0.000 0.185
Er2 0.815 0.000 0.815
Lu1 0.124 0.624 0.500
Lu2 0.205 0.352 0.854
Lu3 0.498 0.352 0.146
Lu4 0.570 0.205 0.365
Lu5 0.840 0.205 0.635
Ni1 0.431 0.694 0.737
Ni2 0.958 0.694 0.263
Te1 0.463 0.963 0.500
Te2 0.856 0.856 0.000

Main lines, in order of rising 2θ (2θ = 10–90°):
two_theta  I (rel.)
29.31  21
30.74  74
33.45  81
34.61  100
35.04  50
35.22  24
37.07  22
47.85  29
52.04  27
59.63  36

***

(10)
This entry pairs a crystal structure of Er2Lu5Ni2Te2 with its theoretical PXRD pattern. Radiation: Cu Ka. Structure: a structure optimized by DFT (GGA-PBE).
Lines closer than 0.1° are merged.

Atomic structure:
a = 9.179 Å, b = 9.179 Å, c = 9.179 Å
α = 156.11°, β = 67.52°, γ = 117.90°
Positions (direct):
Er1 0.134 0.000 0.134
Er2 0.866 0.000 0.866
Lu1 0.111 0.796 0.315
Lu2 0.420 0.420 0.000
Lu3 0.482 0.796 0.685
Lu4 0.499 0.146 0.354
Lu5 0.792 0.146 0.646
Ni1 0.254 0.489 0.765
Ni2 0.724 0.489 0.235
Te1 0.155 0.655 0.500
Te2 0.755 0.755 0.000

Main lines, in order of rising 2θ (2θ = 10–90°):
two_theta  I (rel.)
29.34  24
30.75  77
33.41  84
34.64  100
35.04  51
35.29  25
37.03  25
47.88  30
52.08  28
59.66  44

***

(11)
This entry pairs a crystal structure of Er3Lu4Ni2Te2 with its theoretical PXRD pattern. Radiation: Cu Ka. Structure: a structure optimized by DFT (GGA-PBE).
Lines closer than 0.1° are merged.

Atomic structure:
a = 9.201 Å, b = 9.201 Å, c = 9.201 Å
α = 156.07°, β = 67.20°, γ = 118.26°
Positions (direct):
Er1 0.000 0.000 0.000
Er2 0.284 0.419 0.865
Er3 0.553 0.419 0.135
Lu1 0.309 0.623 0.686
Lu2 0.625 0.272 0.353
Lu3 0.919 0.272 0.647
Lu4 0.938 0.623 0.314
Ni1 0.167 0.931 0.236
Ni2 0.695 0.931 0.764
Te1 0.266 0.766 0.500
Te2 0.662 0.662 0.000

Main lines, in order of rising 2θ (2θ = 10–90°):
two_theta  I (rel.)
29.21  24
30.68  76
33.44  83
34.51  100
34.97  53
35.13  25
37.03  24
47.68  30
51.92  28
59.48  38

***

(12)
This entry pairs a crystal structure of Er3Lu4Ni2Te2 with its theoretical PXRD pattern. Radiation: Cu Ka. Structure: a structure optimized by DFT (GGA-PBE).
Lines closer than 0.1° are merged.

Atomic structure:
a = 9.192 Å, b = 9.192 Å, c = 9.192 Å
α = 156.08°, β = 67.21°, γ = 118.25°
Positions (direct):
Er1 0.000 0.000 0.000
Er2 0.310 0.624 0.685
Er3 0.939 0.624 0.315
Lu1 0.284 0.419 0.865
Lu2 0.553 0.419 0.135
Lu3 0.625 0.272 0.354
Lu4 0.918 0.272 0.646
Ni1 0.167 0.931 0.236
Ni2 0.694 0.931 0.764
Te1 0.268 0.768 0.500
Te2 0.661 0.661 0.000

Main lines, in order of rising 2θ (2θ = 10–90°):
two_theta  I (rel.)
29.25  21
30.72  73
33.47  81
34.55  100
35.01  52
35.17  24
37.07  22
47.75  29
51.98  27
59.56  36

***

(13)
This entry pairs a crystal structure of Er2Tm4LuNi2Te2 with its theoretical PXRD pattern. Radiation: Cu Ka. Structure: a structure optimized by DFT (GGA-PBE).
Lines closer than 0.1° are merged.

Atomic structure:
a = 9.212 Å, b = 9.212 Å, c = 9.212 Å
α = 156.13°, β = 67.21°, γ = 118.22°
Positions (direct):
Er1 0.185 0.000 0.185
Er2 0.815 0.000 0.815
Tm1 0.206 0.352 0.854
Tm2 0.498 0.352 0.146
Tm3 0.571 0.205 0.366
Tm4 0.840 0.205 0.634
Lu1 0.124 0.624 0.500
Ni1 0.429 0.693 0.736
Ni2 0.956 0.693 0.264
Te1 0.462 0.962 0.500
Te2 0.857 0.857 0.000

Main lines, in order of rising 2θ (2θ = 10–90°):
two_theta  I (rel.)
29.23  22
30.67  75
33.38  81
34.51  100
34.96  51
35.09  24
37.01  23
47.74  29
51.88  27
59.50  31